HfGeRh: simulated powder XRD pattern (Cu Kα (λ = 1.5418 Å)), based on the GGA-PBE geometry in the Materials Project.
Kinematic intensities with the Lorentz-polarization factor, no thermal factor.

Structure:
Lattice parameters (Å, degrees): 6.6427 6.6427 3.9114 90.00 90.00 120.00
Space group P-62m (No. 189)
One atom of each set of equivalent atoms:
Hf (0.0000, 0.5782, 0.0000) x3
Ge (0.0000, 0.0000, 0.0000) x1
Ge (0.3333, 0.6667, 0.5000) x2
Rh (0.0000, 0.2486, 0.5000) x3

Top 10 peaks for 2θ = 15–90°, low angle first:
2theta	I_rel	h k l
31.1	16	2 0 0
35.5	100	1 1 1
38.9	100	2 0 1
41.5	50	2 1 0
46.4	29	0 0 2
47.4	16	3 0 0
57.8	16	3 1 0
62.9	27	3 1 1
64.0	28	2 1 2
76.1	21	3 2 1